Simulated X-ray powder pattern of Ag6GeSO8 for Cu Kα (λ = 1.5418 Å), from a DFT-relaxed cell (GGA-PBE, the Materials Project).

Top 10 peaks for 2θ from 15° to 90°, in order of rising 2θ:
h k l	Position (°2θ)	I (rel.)
2 0 4	31.69	100
2 2 0	35.65	26
2 1 5	37.22	10
0 0 8	38.87	10
4 0 0	51.30	12
2 2 8	53.76	20
4 2 4	61.57	18
2 0 12	65.92	8
4 0 8	66.19	6
4 2 12	88.10	6

```
data_Ag6GeSO8
_cell_length_a 7.1235
_cell_length_b 7.1235
_cell_length_c 18.5337
_cell_angle_alpha 90.00
_cell_angle_beta 90.00
_cell_angle_gamma 90.00
_space_group_name_H-M_alt 'I 41/a m d'
_space_group_IT_number 141
loop_
_space_group_symop_operation_xyz
'x,y,z'
'-x,-y,-z'
'-y+1/4,x+3/4,z+1/4'
'y+1/4,-x+3/4,-z+1/4'
'-x+1/2,-y,z+1/2'
'x+1/2,y,-z+1/2'
'y+1/4,-x+1/4,z+3/4'
'-y+1/4,x+1/4,-z+3/4'
'x,-y,-z'
'-x,y,z'
'-y+1/4,-x+1/4,-z+3/4'
'y+1/4,x+1/4,z+3/4'
'-x+1/2,y,-z+1/2'
'x+1/2,-y,z+1/2'
'y+1/4,x+3/4,-z+1/4'
'-y+1/4,-x+3/4,z+1/4'
'x+1/2,y+1/2,z+1/2'
'-x+1/2,-y+1/2,-z+1/2'
'-y+3/4,x+1/4,z+3/4'
'y+3/4,-x+1/4,-z+3/4'
'-x,-y+1/2,z'
'x,y+1/2,-z'
'y+3/4,-x+3/4,z+1/4'
'-y+3/4,x+3/4,-z+1/4'
'x+1/2,-y+1/2,-z+1/2'
'-x+1/2,y+1/2,z+1/2'
'-y+3/4,-x+3/4,-z+1/4'
'y+3/4,x+3/4,z+1/4'
'-x,y+1/2,-z'
'x,-y+1/2,z'
'y+3/4,x+1/4,-z+3/4'
'-y+3/4,-x+1/4,z+3/4'
loop_
_atom_site_label
_atom_site_type_symbol
_atom_site_fract_x
_atom_site_fract_y
_atom_site_fract_z
Ag1 Ag 0.0000 0.2500 0.1111
Ag2 Ag 0.2070 0.0000 0.0000
Ge1 Ge 0.0000 0.2500 0.8750
S1 S 0.0000 0.2500 0.3750
O1 O 0.0000 0.0431 0.8204
O2 O 0.0000 0.0780 0.4215
```


Simulated X-ray powder pattern of Ag3Sn2Ge3P6 for Cu Kα (λ = 1.5418 Å), from a DFT-relaxed cell (GGA-PBE, the Materials Project).

Top 10 peaks for 2θ from 15° to 90°, in order of rising 2θ:
h k l	Position (°2θ)	I (rel.)
2 1 1	20.47	13
2 2 2	29.11	100
3 2 1	31.50	13
4 0 0	33.74	18
4 1 1	35.85	18
3 3 2	39.79	29
5 1 0	43.42	36
4 4 0	48.46	29
6 1 1	53.13	19
7 3 2	69.67	18

```
data_Ag3Sn2Ge3P6
_cell_length_a 10.6264
_cell_length_b 10.6264
_cell_length_c 10.6264
_cell_angle_alpha 90.00
_cell_angle_beta 90.00
_cell_angle_gamma 90.00
_space_group_name_H-M_alt 'I -4 3 m'
_space_group_IT_number 217
_space_group_name_Hall 'I -4 2 3'
loop_
_atom_site_label
_atom_site_type_symbol
_atom_site_fract_x
_atom_site_fract_y
_atom_site_fract_z
Ag1 Ag 0.0000 0.0000 0.1961
Sn1 Sn 0.2058 0.2058 0.2058
Ge1 Ge 0.0000 0.2500 0.5000
P1 P 0.1254 0.1254 0.6348
```


Simulated X-ray powder pattern of Pm2AgGe for Cu Kα (λ = 1.5418 Å), from a DFT-relaxed cell (GGA-PBE, the Materials Project).

Top 10 peaks for 2θ from 15° to 90°, in order of rising 2θ:
h k l	Position (°2θ)	I (rel.)
1 1 1	20.86	1
2 0 0	24.13	6
2 2 0	34.38	100
2 2 2	42.45	2
4 0 0	49.42	18
4 2 0	55.72	3
4 2 2	61.59	36
4 4 0	72.48	11
6 0 0	77.66	1
6 2 0	82.74	16

```
data_Pm2AgGe
_cell_length_a 7.3772
_cell_length_b 7.3772
_cell_length_c 7.3772
_cell_angle_alpha 90.00
_cell_angle_beta 90.00
_cell_angle_gamma 90.00
_space_group_name_H-M_alt 'F m -3 m'
_space_group_IT_number 225
_space_group_name_Hall '-F 4 2 3'
loop_
_atom_site_label
_atom_site_type_symbol
_atom_site_fract_x
_atom_site_fract_y
_atom_site_fract_z
Pm1 Pm 0.2500 0.2500 0.2500
Ag1 Ag 0.0000 0.0000 0.0000
Ge1 Ge 0.0000 0.0000 0.5000
```